Starting from a structure optimized by DFT (PBE), the PXRD pattern of LiLa4In was simulated for Cu Kα.
Peak positions follow from Bragg's law for the DFT cell and can differ from measured ones.

Largest 12 diffraction maxima, low angle first, 10° ≤ 2θ ≤ 80°:
Position (°2θ), d (Å), I/Imax, h k l
23.68, 3.757, 8.8, 1 1 0
23.79, 3.740, 8.7, 2 0 -2
28.46, 3.137, 6.6, 4 0 0
31.24, 2.863, 100.0, 2 0 2
32.23, 2.778, 48.8, 1 1 -2
43.27, 2.091, 8.5, 6 0 0
43.52, 2.079, 8.4, 5 1 -2
46.10, 1.969, 9.0, 0 2 0
46.34, 1.959, 8.7, 2 0 -4
54.96, 1.671, 16.6, 5 1 2
56.77, 1.622, 18.1, 2 2 2
56.92, 1.618, 17.8, 1 1 4

Structure:
abc: 13.1420 3.9379 7.8369
angles: 90.00 107.31 90.00
Space group C2/m (No. 12)
One atom of each set of equivalent atoms:
Li1 0.0000 0.0000 0.0000 x2
La1 0.1498 0.5000 0.8310 x4
La2 0.1555 0.5000 0.3240 x4
In1 0.0000 0.0000 0.5000 x2